Entry 1:
Structure and theoretical powder X-ray diffraction pattern of Li2NiP2O7 (DFT lattice parameters and positions (PBE+U); copper Kα).

Cell and atoms:
a b c (Å): 7.751 7.751 7.901
angles (deg): 115.68 115.68 42.16
Element x y z (fractional)
Li (0.065, 0.372, 0.306)
Li (0.372, 0.065, 0.806)
Li (0.628, 0.935, 0.194)
Li (0.935, 0.628, 0.694)
Ni (0.000, 0.000, 0.000)
Ni (0.000, 0.000, 0.500)
P (0.245, 0.531, 0.142)
P (0.469, 0.755, 0.358)
P (0.531, 0.245, 0.642)
P (0.755, 0.469, 0.858)
O (0.060, 0.707, 0.286)
O (0.117, 0.665, 0.972)
O (0.258, 0.352, 0.580)
O (0.293, 0.940, 0.214)
O (0.335, 0.883, 0.528)
O (0.352, 0.258, 0.080)
O (0.497, 0.503, 0.250)
O (0.503, 0.497, 0.750)
O (0.648, 0.742, 0.920)
O (0.665, 0.117, 0.472)
O (0.707, 0.060, 0.786)
O (0.742, 0.648, 0.420)
O (0.883, 0.335, 0.028)
O (0.940, 0.293, 0.714)

Top 10 peaks for 2θ = 10–80°, in order of falling intensity:
two_theta	intensity
28.1	100
29.1	94
19.5	79
13.8	73
26.3	48
43.0	37
35.1	34
33.3	25
27.7	20
34.4	16


Entry 2:
Structure and theoretical powder X-ray diffraction pattern of LiNi2P3O12 (DFT lattice parameters and positions (PBE+U); copper Kα).

Cell and atoms:
a b c (Å): 4.835 4.835 19.299
angles (deg): 90.46 90.46 66.11
Element x y z (fractional)
Li (0.000, 0.000, 0.166)
Li (0.000, 0.000, 0.834)
Ni (0.000, 0.000, 0.000)
Ni (0.000, 0.000, 0.500)
Ni (0.002, 0.002, 0.666)
Ni (0.998, 0.998, 0.334)
P (0.354, 0.354, 0.583)
P (0.355, 0.355, 0.252)
P (0.357, 0.357, 0.919)
P (0.643, 0.643, 0.081)
P (0.645, 0.645, 0.748)
P (0.646, 0.646, 0.417)
O (0.223, 0.705, 0.583)
O (0.226, 0.703, 0.254)
O (0.228, 0.704, 0.920)
O (0.245, 0.245, 0.318)
O (0.247, 0.247, 0.516)
O (0.247, 0.247, 0.985)
O (0.250, 0.250, 0.650)
O (0.256, 0.256, 0.183)
O (0.256, 0.256, 0.850)
O (0.295, 0.777, 0.417)
O (0.296, 0.772, 0.080)
O (0.297, 0.774, 0.746)
O (0.703, 0.226, 0.254)
O (0.704, 0.228, 0.920)
O (0.705, 0.223, 0.583)
O (0.744, 0.744, 0.150)
O (0.744, 0.744, 0.817)
O (0.750, 0.750, 0.350)
O (0.753, 0.753, 0.015)
O (0.753, 0.753, 0.484)
O (0.755, 0.755, 0.682)
O (0.772, 0.296, 0.080)
O (0.774, 0.297, 0.746)
O (0.777, 0.295, 0.417)

Top 10 peaks for 2θ = 10–80°, in order of falling intensity:
two_theta	intensity
24.5	100
25.9	62
34.6	57
34.4	56
37.4	51
34.0	38
44.4	31
13.8	31
57.3	27
20.1	26


Entry 3:
Structure and theoretical powder X-ray diffraction pattern of Li3Ni2P3O12 (DFT lattice parameters and positions (PBE+U); copper Kα).

Cell and atoms:
a b c (Å): 8.989 8.989 8.989
angles (deg): 56.21 56.21 56.21
Element x y z (fractional)
Li (0.162, 0.767, 0.421)
Li (0.233, 0.579, 0.838)
Li (0.421, 0.162, 0.767)
Li (0.579, 0.838, 0.233)
Li (0.767, 0.421, 0.162)
Li (0.838, 0.233, 0.579)
Ni (0.153, 0.153, 0.153)
Ni (0.356, 0.356, 0.356)
Ni (0.644, 0.644, 0.644)
Ni (0.847, 0.847, 0.847)
P (0.042, 0.457, 0.754)
P (0.246, 0.958, 0.543)
P (0.457, 0.754, 0.042)
P (0.543, 0.246, 0.958)
P (0.754, 0.042, 0.457)
P (0.958, 0.543, 0.246)
O (0.002, 0.332, 0.968)
O (0.032, 0.998, 0.668)
O (0.043, 0.653, 0.709)
O (0.108, 0.510, 0.305)
O (0.246, 0.362, 0.630)
O (0.291, 0.957, 0.347)
O (0.305, 0.108, 0.510)
O (0.332, 0.968, 0.002)
O (0.347, 0.291, 0.957)
O (0.362, 0.630, 0.246)
O (0.370, 0.754, 0.638)
O (0.490, 0.695, 0.892)
O (0.510, 0.305, 0.108)
O (0.630, 0.246, 0.362)
O (0.638, 0.370, 0.754)
O (0.653, 0.709, 0.043)
O (0.668, 0.032, 0.998)
O (0.695, 0.892, 0.490)
O (0.709, 0.043, 0.653)
O (0.754, 0.638, 0.370)
O (0.892, 0.490, 0.695)
O (0.957, 0.347, 0.291)
O (0.968, 0.002, 0.332)
O (0.998, 0.668, 0.032)

Top 10 peaks for 2θ = 10–80°, in order of falling intensity:
two_theta	intensity
24.1	100
19.8	95
31.8	89
14.4	73
29.0	60
36.8	30
52.2	26
21.0	24
49.4	22
36.1	21